# AcSm7Y2
Calculated powder X-ray diffraction pattern, Cu Kα. Input: a GGA-PBE-relaxed structure.

Most intense lines, 2θ = 15–90°, most intense first:
index  Position (°2θ)  Rel. int.
1 2 2  30.8  100.0
2 1 0  31.0  34.5
0 1 -2  29.7  27.7
1 -2 0  31.2  26.6
3 3 2  55.0  12.7
1 1 4  42.9  10.1
3 -1 0  45.3  9.7
1 3 0  43.8  8.6
0 4 2  55.3  7.7
-2 3 2  55.9  7.4

a b c (Å): 6.675 6.777 8.442
angles (deg): 73.67 72.31 83.80
Space group P-1 (No. 2)
Inequivalent atoms, fractional coordinates:
Ac  0.000  0.000  0.000 x1
Sm  0.000  0.000  0.500 x1
Sm  0.204  0.588  0.771 x2
Sm  0.222  0.532  0.344 x2
Sm  0.429  0.239  0.059 x2
Y  0.441  0.151  0.632 x2



# Cd4Sb2SeI
Calculated powder X-ray diffraction pattern, Cu Kα. Input: a GGA-PBE-relaxed structure.

Most intense lines, 2θ = 15–90°, most intense first:
index  Position (°2θ)  Rel. int.
2 0 2  24.7  100.0
2 2 4  38.6  94.4
0 2 2  22.6  83.6
2 4 2  45.3  31.9
0 2 6  43.9  25.6
0 4 0  37.3  23.7
4 2 2  48.8  21.1
4 0 0  42.7  18.5
4 2 6  62.9  15.7
2 6 4  68.1  13.3

a b c (Å): 8.471 9.641 13.703
angles (deg): 90.00 90.00 90.00
Space group Fmm2 (No. 42)
Inequivalent atoms, fractional coordinates:
Cd  0.000  0.214  0.000 x8
Cd  0.229  0.000  0.738 x8
Sb  0.250  0.250  0.135 x8
Se  0.000  0.000  0.876 x4
I  0.000  0.000  0.385 x4



# LaAl4Zn2
Calculated powder X-ray diffraction pattern, Cu Kα. Input: a GGA-PBE-relaxed structure.

Most intense lines, 2θ = 15–90°, most intense first:
index  Position (°2θ)  Rel. int.
1 1 1  30.3  100.0
1 3 1  34.9  79.1
0 0 2  42.5  62.7
1 5 0  37.1  41.9
0 4 1  32.2  41.8
2 0 2  61.5  40.7
2 0 0  42.3  31.6
1 3 0  27.7  25.7
1 5 2  57.7  22.5
1 7 0  48.2  19.7

a b c (Å): 4.274 14.719 4.252
angles (deg): 90.00 90.00 90.00
Space group Cmmm (No. 65)
Inequivalent atoms, fractional coordinates:
La  0.000  0.000  0.000 x2
Al  0.000  0.185  0.500 x4
Al  0.000  0.313  0.000 x4
Zn  0.000  0.415  0.500 x4



# Nd3Sm3TlZn2
Calculated powder X-ray diffraction pattern, Cu Kα. Input: a GGA-PBE-relaxed structure.

Most intense lines, 2θ = 15–90°, most intense first:
index  Position (°2θ)  Rel. int.
1 1 1  30.7  100.0
3 0 0  35.1  75.7
2 0 1  32.9  47.8
3 0 2  60.0  32.1
3 2 1  57.6  29.3
2 1 1  38.8  20.8
2 2 1  47.3  20.4
2 1 0  30.9  19.9
0 0 2  47.0  15.3
5 0 1  65.5  15.0

a b c (Å): 8.8518 8.8518 3.8695
angles (deg): 90.00 90.00 120.00
Space group P-62m (No. 189)
Inequivalent atoms, fractional coordinates:
Nd  0.0000  0.7021  0.0000 x3
Sm  0.0000  0.3816  0.5000 x3
Tl  0.0000  0.0000  0.5000 x1
Zn  0.3333  0.6667  0.0000 x2



# Ga2Pd5
Calculated powder X-ray diffraction pattern, Cu Kα. Input: a GGA-PBE-relaxed structure.

Most intense lines, 2θ = 15–90°, most intense first:
index  Position (°2θ)  Rel. int.
0 4 2  43.8  100.0
2 0 2  43.5  99.8
2 4 0  41.1  91.4
1 1 2  36.0  63.0
1 5 0  39.3  50.5
3 1 0  44.0  38.1
3 5 2  67.8  36.6
0 0 4  67.1  24.6
2 4 4  81.8  23.5
0 2 2  35.3  23.0

a b c (Å): 6.264 12.310 5.577
angles (deg): 90.00 90.00 90.00
Space group Ibam (No. 72)
Inequivalent atoms, fractional coordinates:
Ga  0.231  0.124  0.000 x8
Pd  0.000  0.269  0.250 x8
Pd  0.000  0.500  0.250 x4
Pd  0.163  0.087  0.500 x8



# Zr6TlZn3
Calculated powder X-ray diffraction pattern, Cu Kα. Input: a GGA-PBE-relaxed structure.

Most intense lines, 2θ = 15–90°, most intense first:
index  Position (°2θ)  Rel. int.
2 4 1  34.8  100.0
2 2 2  35.6  65.6
4 0 0  37.7  23.2
4 2 1  42.4  22.3
0 2 3  43.3  22.1
0 6 1  41.5  18.7
3 1 1  31.9  17.1
4 8 0  66.8  14.9
4 6 3  71.4  12.7
0 2 1  18.6  11.0

a b c (Å): 9.541 13.834 6.569
angles (deg): 90.00 90.00 90.00
Space group Cmc2_1 (No. 36)
Inequivalent atoms, fractional coordinates:
Zr  0.000  0.037  0.000 x4
Zr  0.000  0.308  0.093 x4
Zr  0.228  0.308  0.482 x8
Zr  0.232  0.465  0.172 x8
Tl  0.000  0.188  0.693 x4
Zn  0.000  0.455  0.444 x4
Zn  0.139  0.133  0.329 x8



# NaIn5Pb4
Calculated powder X-ray diffraction pattern, Cu Kα. Input: a GGA-PBE-relaxed structure.

Most intense lines, 2θ = 15–90°, most intense first:
index  Position (°2θ)  Rel. int.
1 0 5  33.1  100.0
1 1 0  31.9  56.5
2 1 5  57.6  41.1
2 0 0  45.7  21.0
1 1 10  60.0  17.1
2 0 10  69.5  11.0
3 1 0  75.7  9.5
3 0 5  76.4  9.0
0 0 10  49.4  7.7
2 2 0  66.6  6.8

a b c (Å): 3.973 3.973 18.455
angles (deg): 90.00 90.00 90.00
Space group P4/mmm (No. 123)
Inequivalent atoms, fractional coordinates:
Na  0.000  0.000  0.000 x1
In  0.500  0.500  0.099 x2
In  0.500  0.500  0.297 x2
In  0.500  0.500  0.500 x1
Pb  0.000  0.000  0.194 x2
Pb  0.000  0.000  0.395 x2



# Er7MgCd4
Calculated powder X-ray diffraction pattern, Cu Kα. Input: a GGA-PBE-relaxed structure.

Most intense lines, 2θ = 15–90°, most intense first:
index  Position (°2θ)  Rel. int.
0 2 0  31.4  100.0
5 1 -1  35.5  78.3
1 1 -3  34.3  46.7
4 0 -3  30.7  43.3
3 1 -3  32.9  37.1
1 1 2  31.1  36.2
2 0 2  32.4  32.7
4 2 -3  44.5  31.3
2 2 2  45.7  25.2
3 1 1  33.1  25.0

a b c (Å): 14.544 5.692 9.395
angles (deg): 90.00 121.58 90.00
Space group C2/m (No. 12)
Inequivalent atoms, fractional coordinates:
Er  0.000  0.000  0.000 x2
Er  0.075  0.500  0.418 x4
Er  0.197  0.500  0.879 x4
Er  0.245  0.000  0.706 x4
Mg  0.000  0.500  0.000 x2
Cd  0.038  0.000  0.695 x4
Cd  0.182  0.000  0.344 x4



# Cs2Cd3Pb6
Calculated powder X-ray diffraction pattern, Cu Kα. Input: a GGA-PBE-relaxed structure.

Most intense lines, 2θ = 15–90°, most intense first:
index  Position (°2θ)  Rel. int.
2 1 1  33.8  100.0
1 1 1  25.3  71.6
0 0 2  33.6  31.8
2 1 0  29.2  25.4
2 1 3  60.2  19.4
2 1 2  45.1  15.8
3 0 0  33.2  14.6
3 1 0  40.2  12.3
4 1 1  54.8  11.9
4 3 1  73.4  11.3

a b c (Å): 9.3428 9.3428 5.3358
angles (deg): 90.00 90.00 120.00
Space group P-62m (No. 189)
Inequivalent atoms, fractional coordinates:
Cs  0.3333  0.6667  0.0000 x2
Cd  0.0000  0.6080  0.5000 x3
Pb  0.0000  0.2709  0.5000 x3
Pb  0.0000  0.8016  0.0000 x3



# IrSe2Cl2
Calculated powder X-ray diffraction pattern, Cu Kα. Input: a GGA-PBE-relaxed structure.

Most intense lines, 2θ = 15–90°, most intense first:
index  Position (°2θ)  Rel. int.
1 1 -1  16.1  100.0
1 3 -2  34.4  53.3
3 3 -1  42.8  52.5
1 3 2  40.3  52.4
2 0 -1  22.8  43.0
1 3 -3  43.2  41.8
1 3 1  32.3  39.3
2 2 -1  28.4  38.1
2 0 0  24.1  32.8
1 1 1  21.6  25.2

a b c (Å): 7.900 10.632 7.792
angles (deg): 90.00 110.74 90.00
Space group C2/m (No. 12)
Inequivalent atoms, fractional coordinates:
Ir  0.000  0.160  0.000 x4
Se  0.087  0.000  0.807 x4
Se  0.221  0.000  0.195 x4
Cl  0.079  0.312  0.225 x8



# Tb7NdY12
Calculated powder X-ray diffraction pattern, Cu Kα. Input: a GGA-PBE-relaxed structure.

Most intense lines, 2θ = 15–90°, most intense first:
index  Position (°2θ)  Rel. int.
3 1 2  31.7  100.0
4 -3 1  29.6  51.7
0 2 4  30.7  37.8
4 -3 4  39.3  36.6
3 3 0  42.0  34.2
2 5 3  55.2  19.7
2 0 2  20.5  14.8
1 0 4  27.3  14.6
6 -5 2  47.2  13.4
3 3 6  59.1  13.3

a b c (Å): 12.9018 12.9018 13.6612
angles (deg): 90.00 90.00 120.00
Space group R-3 (No. 148, hexagonal axes)
Inequivalent atoms, fractional coordinates:
Tb  0.0000  0.0000  0.0000 x3
Tb  0.0686  0.2014  0.3482 x18
Nd  0.0000  0.0000  0.5000 x3
Y  0.0011  0.5654  0.7489 x18
Y  0.0681  0.8686  0.8470 x18



# Ba4PRu
Calculated powder X-ray diffraction pattern, Cu Kα. Input: a GGA-PBE-relaxed structure.

Most intense lines, 2θ = 15–90°, most intense first:
index  Position (°2θ)  Rel. int.
3 1 1  30.8  100.0
2 2 2  32.2  63.8
1 1 1  15.9  36.9
5 1 1  49.1  35.4
4 4 0  53.8  33.6
6 2 2  64.1  26.0
5 5 3  75.9  22.0
4 0 0  37.3  17.4
5 3 3  63.3  12.3
5 5 5  87.8  12.2

a b c (Å): 9.632 9.632 9.632
angles (deg): 90.00 90.00 90.00
Space group F-43m (No. 216)
Inequivalent atoms, fractional coordinates:
Ba  0.125  0.125  0.125 x16
P  0.250  0.250  0.750 x4
Ru  0.000  0.000  0.500 x4



Copy entry 12 word for word.
# Ba4PRu
Calculated powder X-ray diffraction pattern, Cu Kα. Input: a GGA-PBE-relaxed structure.

Most intense lines, 2θ = 15–90°, most intense first:
index  Position (°2θ)  Rel. int.
3 1 1  30.8  100.0
2 2 2  32.2  63.8
1 1 1  15.9  36.9
5 1 1  49.1  35.4
4 4 0  53.8  33.6
6 2 2  64.1  26.0
5 5 3  75.9  22.0
4 0 0  37.3  17.4
5 3 3  63.3  12.3
5 5 5  87.8  12.2

a b c (Å): 9.632 9.632 9.632
angles (deg): 90.00 90.00 90.00
Space group F-43m (No. 216)
Inequivalent atoms, fractional coordinates:
Ba  0.125  0.125  0.125 x16
P  0.250  0.250  0.750 x4
Ru  0.000  0.000  0.500 x4